(1)
Diffraction record for V2F9. The X-ray diffraction stick pattern is theoretical, not measured: it uses a cell relaxed with GGA+U and CuKα.

Crystal structure
a = 5.2036 Å, b = 5.2036 Å, c = 14.4696 Å
α = 90.00°, β = 90.00°, γ = 120.00°
Space group P6_3/mcm (No. 193)
Asymmetric unit:
V  0.0000  0.0000  0.1491 (multiplicity 4)
F  0.0000  0.2641  0.2500 (multiplicity 6)
F  0.0000  0.2973  0.5932 (multiplicity 12)

Peak list (6 most intense, 2θ = 10–90°, sorted by position)
2theta	I_rel
19.7	100
23.3	12
24.6	12
31.7	19
39.3	32
51.7	16

(2)
Diffraction record for Na3Ni2P2C2O14. The X-ray diffraction stick pattern is theoretical, not measured: it uses a cell relaxed with GGA+U and CuKα.

Crystal structure
a = 6.550 Å, b = 8.924 Å, c = 10.363 Å
α = 91.48°, β = 90.10°, γ = 90.92°
Space group P-1 (No. 2)
Asymmetric unit:
Na  0.010  0.253  0.130 (multiplicity 2)
Na  0.031  0.255  0.626 (multiplicity 2)
Na  0.485  0.252  0.127 (multiplicity 2)
Ni  0.254  0.656  0.144 (multiplicity 2)
Ni  0.255  0.653  0.638 (multiplicity 2)
P  0.249  0.427  0.389 (multiplicity 2)
P  0.250  0.423  0.893 (multiplicity 2)
C  0.248  0.927  0.107 (multiplicity 2)
C  0.254  0.925  0.606 (multiplicity 2)
O  0.062  0.322  0.857 (multiplicity 2)
O  0.062  0.323  0.354 (multiplicity 2)
O  0.241  0.577  0.317 (multiplicity 2)
O  0.243  0.066  0.088 (multiplicity 2)
O  0.243  0.465  0.536 (multiplicity 2)
O  0.245  0.462  0.043 (multiplicity 2)
O  0.249  0.870  0.220 (multiplicity 2)
O  0.250  0.063  0.588 (multiplicity 2)
O  0.251  0.826  0.013 (multiplicity 2)
O  0.252  0.572  0.820 (multiplicity 2)
O  0.252  0.826  0.512 (multiplicity 2)
O  0.259  0.867  0.720 (multiplicity 2)
O  0.434  0.332  0.349 (multiplicity 2)
O  0.437  0.324  0.866 (multiplicity 2)

Peak list (6 most intense, 2θ = 10–90°, sorted by position)
2theta	I_rel
16.7	53
20.0	53
21.9	59
26.0	74
27.2	100
34.6	56

(3)
Diffraction record for MgVF6. The X-ray diffraction stick pattern is theoretical, not measured: it uses a cell relaxed with GGA+U and CuKα.

Crystal structure
a = 5.2707 Å, b = 5.2707 Å, c = 13.4859 Å
α = 90.00°, β = 90.00°, γ = 120.00°
Space group R-3 (No. 148, hexagonal axes)
Asymmetric unit:
Mg  0.0000  0.0000  0.0000 (multiplicity 3)
V  0.0000  0.0000  0.5000 (multiplicity 3)
F  0.0129  0.5922  0.2476 (multiplicity 18)

Peak list (6 most intense, 2θ = 10–90°, sorted by position)
2theta	I_rel
20.5	12
23.5	100
39.6	25
48.1	25
53.6	28
54.9	12

(4)
Diffraction record for NaLiHfWO6. The X-ray diffraction stick pattern is theoretical, not measured: it uses a cell relaxed with GGA+U and CuKα.

Crystal structure
a = 7.994 Å, b = 7.994 Å, c = 7.994 Å
α = 90.00°, β = 90.00°, γ = 90.00°
Space group F-43m (No. 216)
Asymmetric unit:
Na  0.000  0.000  0.000 (multiplicity 4)
Li  0.000  0.000  0.500 (multiplicity 4)
Hf  0.250  0.250  0.750 (multiplicity 4)
W  0.250  0.250  0.250 (multiplicity 4)
O  0.007  0.250  0.250 (multiplicity 24)

Peak list (6 most intense, 2θ = 10–90°, sorted by position)
2theta	I_rel
22.2	100
31.7	78
45.4	27
51.1	42
56.4	32
70.7	20

(5)
Diffraction record for LiCoSnO4. The X-ray diffraction stick pattern is theoretical, not measured: it uses a cell relaxed with GGA+U and CuKα.

Crystal structure
a = 6.143 Å, b = 6.183 Å, c = 10.395 Å
α = 91.80°, β = 105.31°, γ = 118.87°
Space group P1 (No. 1)
Asymmetric unit:
Li  0.000  0.000  0.000 (multiplicity 1)
Li  0.004  0.497  0.499 (multiplicity 1)
Li  0.246  0.626  0.871 (multiplicity 1)
Li  0.250  0.122  0.370 (multiplicity 1)
Co  0.624  0.060  0.684 (multiplicity 1)
Co  0.624  0.562  0.185 (multiplicity 1)
Co  0.624  0.807  0.434 (multiplicity 1)
Co  0.626  0.315  0.936 (multiplicity 1)
Sn  0.124  0.562  0.185 (multiplicity 1)
Sn  0.125  0.061  0.685 (multiplicity 1)
Sn  0.624  0.062  0.185 (multiplicity 1)
Sn  0.624  0.561  0.685 (multiplicity 1)
O  0.376  0.700  0.070 (multiplicity 1)
O  0.381  0.421  0.807 (multiplicity 1)
O  0.386  0.920  0.309 (multiplicity 1)
O  0.387  0.191  0.572 (multiplicity 1)
O  0.398  0.976  0.803 (multiplicity 1)
O  0.401  0.472  0.298 (multiplicity 1)
O  0.418  0.709  0.563 (multiplicity 1)
O  0.425  0.227  0.070 (multiplicity 1)
O  0.825  0.897  0.300 (multiplicity 1)
O  0.829  0.412  0.807 (multiplicity 1)
O  0.848  0.651  0.072 (multiplicity 1)
O  0.853  0.147  0.567 (multiplicity 1)
O  0.862  0.931  0.797 (multiplicity 1)
O  0.864  0.203  0.061 (multiplicity 1)
O  0.868  0.701  0.563 (multiplicity 1)
O  0.874  0.422  0.301 (multiplicity 1)

Peak list (6 most intense, 2θ = 10–90°, sorted by position)
2theta	I_rel
17.4	35
18.0	100
34.1	32
41.2	23
41.5	22
42.1	21

(6)
Diffraction record for MgNiGe2O6. The X-ray diffraction stick pattern is theoretical, not measured: it uses a cell relaxed with GGA+U and CuKα.

Crystal structure
a = 9.726 Å, b = 9.009 Å, c = 5.225 Å
α = 90.00°, β = 101.08°, γ = 90.00°
Space group C2/c (No. 15)
Asymmetric unit:
Mg  0.000  0.232  0.250 (multiplicity 4)
Ni  0.000  0.408  0.750 (multiplicity 4)
Ge  0.200  0.095  0.790 (multiplicity 8)
O  0.115  0.409  0.131 (multiplicity 8)
O  0.117  0.244  0.617 (multiplicity 8)
O  0.139  0.070  0.097 (multiplicity 8)

Peak list (6 most intense, 2θ = 10–90°, sorted by position)
2theta	I_rel
29.8	80
30.4	64
34.4	72
35.0	100
61.6	30
63.2	30

(7)
Diffraction record for Li3Mn2FeB3O9. The X-ray diffraction stick pattern is theoretical, not measured: it uses a cell relaxed with GGA+U and CuKα.

Crystal structure
a = 16.517 Å, b = 6.348 Å, c = 8.273 Å
α = 90.00°, β = 120.04°, γ = 90.00°
Space group Cm (No. 8)
Asymmetric unit:
Li  0.000  0.249  0.000 (multiplicity 4)
Li  0.160  0.250  0.586 (multiplicity 4)
Li  0.293  0.250  0.267 (multiplicity 4)
Mn  0.144  0.500  0.912 (multiplicity 2)
Mn  0.336  0.000  0.644 (multiplicity 2)
Mn  0.471  0.000  0.296 (multiplicity 2)
Mn  0.471  0.500  0.296 (multiplicity 2)
Fe  0.147  0.000  0.917 (multiplicity 2)
Fe  0.335  0.500  0.644 (multiplicity 2)
B  0.150  0.000  0.282 (multiplicity 2)
B  0.152  0.500  0.285 (multiplicity 2)
B  0.317  0.250  0.950 (multiplicity 4)
B  0.484  0.252  0.619 (multiplicity 4)
O  0.025  0.250  0.507 (multiplicity 4)
O  0.040  0.247  0.813 (multiplicity 4)
O  0.053  0.000  0.168 (multiplicity 2)
O  0.055  0.500  0.171 (multiplicity 2)
O  0.190  0.000  0.475 (multiplicity 2)
O  0.193  0.500  0.479 (multiplicity 2)
O  0.206  0.000  0.200 (multiplicity 2)
O  0.209  0.500  0.205 (multiplicity 2)
O  0.220  0.246  0.865 (multiplicity 4)
O  0.360  0.254  0.842 (multiplicity 4)
O  0.371  0.250  0.143 (multiplicity 4)
O  0.387  0.252  0.537 (multiplicity 4)

Peak list (6 most intense, 2θ = 10–90°, sorted by position)
2theta	I_rel
21.5	100
33.1	17
35.7	81
37.7	32
47.7	28
54.5	19